Entry 1:
For PrTiPd6, DFT lattice parameters and positions (PBE) gives the theoretical X-ray diffraction stick pattern in this record (Cu Kα X-rays).
Kinematic intensities with the Lorentz-polarization factor, no thermal factor.

Most intense lines, 2θ = 5–70°, low angle first:
Position (°2θ)  I (rel.)
24.40  4
32.92  5
33.10  4
38.25  100
44.36  34
44.65  14
56.45  4
64.54  11
64.76  18
66.01  4

Cell and atoms:
Lattice parameters (Å, degrees): 4.0842 4.0842 8.1187 90.00 90.00 90.00
Sites, in units of the cell vectors:
Pr1 0.0000 0.0000 0.0000
Ti1 0.0000 0.0000 0.5000
Pd1 0.0000 0.5000 0.2731
Pd2 0.0000 0.5000 0.7269
Pd3 0.5000 0.0000 0.2731
Pd4 0.5000 0.0000 0.7269
Pd5 0.5000 0.5000 0.0000
Pd6 0.5000 0.5000 0.5000

***

Entry 2:
For Pr4TlPd, DFT lattice parameters and positions (PBE) gives the theoretical X-ray diffraction stick pattern in this record (Cu Kα X-rays).
Kinematic intensities with the Lorentz-polarization factor, no thermal factor.

Most intense lines, 2θ = 5–70°, low angle first:
Position (°2θ)  I (rel.)
29.04  68
29.35  36
30.12  57
30.54  98
32.60  50
32.70  84
33.28  31
33.77  100
34.94  49
37.37  29

Cell and atoms:
Lattice parameters (Å, degrees): 8.5404 8.5404 6.0713 101.81 101.81 116.19
Sites, in units of the cell vectors:
Pr1 0.0780 0.6962 0.9281
Pr2 0.2026 0.3570 0.6476
Pr3 0.3038 0.9220 0.5719
Pr4 0.3570 0.2026 0.1476
Pr5 0.6430 0.7974 0.8524
Pr6 0.6962 0.0780 0.4281
Pr7 0.7974 0.6430 0.3524
Pr8 0.9220 0.3038 0.0719
Tl1 0.3841 0.6159 0.2500
Tl2 0.6159 0.3841 0.7500
Pd1 0.0032 0.9968 0.2500
Pd2 0.9968 0.0032 0.7500

***

Entry 3:
For Pr2Tl3Pd, DFT lattice parameters and positions (PBE) gives the theoretical X-ray diffraction stick pattern in this record (Cu Kα X-rays).
Kinematic intensities with the Lorentz-polarization factor, no thermal factor.

Most intense lines, 2θ = 5–70°, low angle first:
Position (°2θ)  I (rel.)
23.80  15
31.58  100
35.81  82
43.46  19
48.48  28
48.71  12
61.69  19
61.77  7
61.91  34
64.32  10

Cell and atoms:
Lattice parameters (Å, degrees): 3.7390 5.0200 8.6753 90.00 90.00 90.00
Sites, in units of the cell vectors:
Pr1 0.0000 0.0000 0.0000
Pr2 0.0000 0.5000 0.4567
Tl1 0.5000 0.0000 0.6213
Tl2 0.5000 0.5000 0.1514
Tl3 0.5000 0.5000 0.8076
Pd1 0.5000 0.0000 0.2978

***

Entry 4:
For Pr2TmPd9, DFT lattice parameters and positions (PBE) gives the theoretical X-ray diffraction stick pattern in this record (Cu Kα X-rays).
Kinematic intensities with the Lorentz-polarization factor, no thermal factor.

Most intense lines, 2θ = 5–70°, low angle first:
Position (°2θ)  I (rel.)
7.09  2
21.20  2
21.37  1
30.28  1
37.26  100
43.16  33
43.54  16
48.61  1
62.69  11
62.98  21

Cell and atoms:
Lattice parameters (Å, degrees): 4.1918 4.1918 12.4716 90.00 90.00 90.00
Sites, in units of the cell vectors:
Pr1 0.0000 0.0000 0.1717
Pr2 0.0000 0.0000 0.8283
Tm1 0.0000 0.0000 0.5000
Pd1 0.0000 0.5000 0.0000
Pd2 0.0000 0.5000 0.3416
Pd3 0.0000 0.5000 0.6584
Pd4 0.5000 0.0000 0.0000
Pd5 0.5000 0.0000 0.3416
Pd6 0.5000 0.0000 0.6584
Pd7 0.5000 0.5000 0.1693
Pd8 0.5000 0.5000 0.5000
Pd9 0.5000 0.5000 0.8307

***

Entry 5:
For PrTmPd2, DFT lattice parameters and positions (PBE) gives the theoretical X-ray diffraction stick pattern in this record (Cu Kα X-rays).
Kinematic intensities with the Lorentz-polarization factor, no thermal factor.

Most intense lines, 2θ = 5–70°, low angle first:
Position (°2θ)  I (rel.)
27.83  40
31.78  80
34.12  62
35.61  100
38.66  55
39.37  78
41.51  24
52.51  35
54.37  30
68.70  23

Cell and atoms:
Lattice parameters (Å, degrees): 9.3146 5.6607 7.0699 90.00 90.05 90.00
Sites, in units of the cell vectors:
Pr1 0.1301 0.1417 0.1814
Pr2 0.1301 0.3583 0.6814
Pr3 0.8699 0.6417 0.3186
Pr4 0.8699 0.8583 0.8186
Tm1 0.3802 0.6445 0.3163
Tm2 0.3802 0.8555 0.8163
Tm3 0.6198 0.1445 0.1837
Tm4 0.6198 0.3555 0.6837
Pd1 0.1346 0.6537 0.0424
Pd2 0.1346 0.8463 0.5424
Pd3 0.3834 0.1540 0.4579
Pd4 0.3834 0.3460 0.9579
Pd5 0.6166 0.6540 0.0421
Pd6 0.6166 0.8460 0.5421
Pd7 0.8654 0.1537 0.4576
Pd8 0.8654 0.3463 0.9576

***

Entry 6:
For Pr2Zn9Pd6, DFT lattice parameters and positions (PBE) gives the theoretical X-ray diffraction stick pattern in this record (Cu Kα X-rays).
Kinematic intensities with the Lorentz-polarization factor, no thermal factor.

Most intense lines, 2θ = 5–70°, low angle first:
Position (°2θ)  I (rel.)
18.90  17
20.18  10
33.05  32
38.35  15
39.52  100
42.89  24
44.16  26
55.19  15
63.40  24
69.34  17

Cell and atoms:
Lattice parameters (Å, degrees): 5.4207 5.4207 12.6526 90.00 90.00 120.00
Sites, in units of the cell vectors:
Pr1 0.0000 0.0000 0.1660
Pr2 0.0000 0.0000 0.8340
Zn1 0.0000 0.5000 0.0000
Zn2 0.0000 0.5000 0.3395
Zn3 0.0000 0.5000 0.6605
Zn4 0.5000 0.0000 0.0000
Zn5 0.5000 0.0000 0.3395
Zn6 0.5000 0.0000 0.6605
Zn7 0.5000 0.5000 0.0000
Zn8 0.5000 0.5000 0.3395
Zn9 0.5000 0.5000 0.6605
Pd1 0.3333 0.6667 0.1726
Pd2 0.3333 0.6667 0.5000
Pd3 0.3333 0.6667 0.8274
Pd4 0.6667 0.3333 0.1726
Pd5 0.6667 0.3333 0.5000
Pd6 0.6667 0.3333 0.8274